Calculated PXRD pattern
Compound: Dy2CuW4O16
Radiation: Cu Kα, 1.54184 Å
Structure: a DFT-relaxed cell (PBE+U, Alexandria)
Intensities are scaled so that the largest is 1000.

Atomic structure:
a = 19.6974 Å, b = 5.6514 Å, c = 11.2590 Å
α = 90.00°, β = 110.71°, γ = 90.00°
Space group C2/c (No. 15)
Inequivalent atoms, fractional coordinates:
Dy 0.1510 0.1689 0.4576 (multiplicity 8)
Cu 0.0000 0.1448 0.7500 (multiplicity 4)
W 0.0559 0.3130 0.0919 (multiplicity 8)
W 0.1883 0.3793 0.7862 (multiplicity 8)
O 0.0094 0.3798 0.9097 (multiplicity 8)
O 0.0132 0.1209 0.3768 (multiplicity 8)
O 0.1082 0.3690 0.2734 (multiplicity 8)
O 0.1171 0.0945 0.0742 (multiplicity 8)
O 0.1307 0.4138 0.6015 (multiplicity 8)
O 0.1328 0.1550 0.8263 (multiplicity 8)
O 0.2333 0.4783 0.4479 (multiplicity 8)
O 0.2455 0.3213 0.2391 (multiplicity 8)

The 10 most intense peaks (15 to 90 degrees two-theta), most intense first:
2theta, intensity, (hkl)
28.86, 1000, 1 1 -3
27.60, 961, 5 1 -1
23.88, 784, 3 1 -2
35.14, 434, 2 2 1
29.95, 381, 4 0 2
52.13, 273, 4 2 -5
50.60, 258, 8 2 -3
36.25, 239, 6 0 -4
51.93, 235, 3 3 -2
24.83, 235, 3 1 1